This entry pairs a crystal structure of PmPrZn2 with its calculated XRD peak list. Radiation: copper Kα. Structure: a crystal structure in the Materials Project, relaxed with GGA-PBE.

Most intense lines, 10 to 90 degrees two-theta, sorted by position:
2theta	d (Å)	I/Imax
24.2	3.684	14
34.4	2.605	100
42.5	2.127	4
49.5	1.842	18
55.8	1.648	6
61.7	1.504	36
72.6	1.302	11
77.8	1.228	3
82.9	1.165	15
87.9	1.111	2

Structural model:
a b c (Å): 7.368 7.368 7.368
angles (deg): 90.00 90.00 90.00
Space group Fm-3m (No. 225)
One atom of each set of equivalent atoms:
Pm 0.000 0.000 0.000 x4
Pr 0.000 0.000 0.500 x4
Zn 0.250 0.250 0.250 x8

***

This entry pairs a crystal structure of Co5Sn2As2 with its calculated XRD peak list. Radiation: copper Kα. Structure: a crystal structure in the Materials Project, relaxed with GGA-PBE.

Most intense lines, 10 to 90 degrees two-theta, sorted by position:
2theta	d (Å)	I/Imax
18.4	4.814	10
31.4	2.849	98
44.4	2.040	100
45.6	1.989	83
55.4	1.659	20
63.7	1.461	12
65.5	1.424	27
73.6	1.287	18
81.7	1.178	16
82.6	1.168	28

Structural model:
a b c (Å): 4.0809 4.0809 9.6278
angles (deg): 90.00 90.00 120.00
Space group P-6m2 (No. 187)
One atom of each set of equivalent atoms:
Co 0.0000 0.0000 0.0000 x1
Co 0.3333 0.6667 0.1325 x2
Co 0.3333 0.6667 0.3691 x2
Sn 0.6667 0.3333 0.0000 x1
Sn 0.6667 0.3333 0.5000 x1
As 0.0000 0.0000 0.2525 x2

***

This entry pairs a crystal structure of TlGeBr3 with its calculated XRD peak list. Radiation: copper Kα. Structure: a crystal structure in the Materials Project, relaxed with GGA-PBE.

Most intense lines, 10 to 90 degrees two-theta, sorted by position:
2theta	d (Å)	I/Imax
19.0	4.661	24
19.3	4.593	31
28.5	3.130	100
28.7	3.109	53
29.3	3.049	33
29.7	3.005	30
30.0	2.975	46
30.2	2.957	78
35.8	2.512	45
42.8	2.113	50

Structural model:
a b c (Å): 9.767 4.224 15.615
angles (deg): 90.00 90.00 90.00
Space group Pnma (No. 62)
One atom of each set of equivalent atoms:
Tl 0.068 0.250 0.171 x4
Ge 0.166 0.750 0.439 x4
Br 0.012 0.750 0.614 x4
Br 0.166 0.750 0.007 x4
Br 0.206 0.250 0.791 x4

***

This entry pairs a crystal structure of MgAg2 with its calculated XRD peak list. Radiation: copper Kα. Structure: a crystal structure in the Materials Project, relaxed with GGA-PBE.

Most intense lines, 10 to 90 degrees two-theta, sorted by position:
2theta	d (Å)	I/Imax
21.4	4.146	43
25.6	3.485	24
35.8	2.509	50
36.8	2.442	69
38.0	2.366	84
39.5	2.280	100
42.7	2.118	60
48.4	1.882	20
63.0	1.475	25
78.3	1.220	20

Structural model:
a b c (Å): 8.723 5.157 6.112
angles (deg): 90.00 126.96 90.00
Space group C2/c (No. 15)
One atom of each set of equivalent atoms:
Mg 0.000 0.106 0.250 x4
Ag 0.168 0.403 0.754 x8

***

This entry pairs a crystal structure of Ce2MgNi2 with its calculated XRD peak list. Radiation: copper Kα. Structure: a crystal structure in the Materials Project, relaxed with GGA-PBE.

Most intense lines, 10 to 90 degrees two-theta, sorted by position:
2theta	d (Å)	I/Imax
16.6	5.327	21
23.6	3.767	13
26.5	3.369	16
34.4	2.608	18
36.5	2.465	100
37.8	2.382	26
50.5	1.808	12
56.4	1.631	18
57.9	1.593	12
72.5	1.304	16

Structural model:
a b c (Å): 7.533 7.533 3.615
angles (deg): 90.00 90.00 90.00
Space group P4/mbm (No. 127)
One atom of each set of equivalent atoms:
Ce 0.169 0.331 0.000 x4
Mg 0.000 0.000 0.500 x2
Ni 0.128 0.628 0.500 x4